The following is a theoretical X-ray diffraction stick pattern of KLiSm2Mo4O16. It was derived from the GGA+U geometry in Alexandria, using a wavelength of 1.5418 Å.
Lines closer than 0.1° are merged.

Principal peaks in the range 2θ = 10–80°, by angle:
24.5 deg, intensity 51; 26.3 deg, intensity 76; 26.6 deg, intensity 48; 27.1 deg, intensity 64; 27.6 deg, intensity 51; 27.8 deg, intensity 100; 29.8 deg, intensity 70; 33.5 deg, intensity 57

Structure:
```
data_KLiSm2Mo4O16
_symmetry_space_group_name_H-M 'P 1'
_symmetry_Int_Tables_number 1
_symmetry_space_group_name_Hall 'P 1'
_cell_length_a 7.0047
_cell_length_b 7.0047
_cell_length_c 19.9440
_cell_angle_alpha 91.63
_cell_angle_beta 91.63
_cell_angle_gamma 135.01
loop_
_atom_site_label
_atom_site_type_symbol
_atom_site_fract_x
_atom_site_fract_y
_atom_site_fract_z
_atom_site_occupancy
K1 K 0.0330 0.9670 0.7500 1
K2 K 0.9670 0.0330 0.2500 1
Li1 Li 0.3118 0.6882 0.7500 1
Li2 Li 0.6882 0.3118 0.2500 1
Sm1 Sm 0.1467 0.8533 0.5325 1
Sm2 Sm 0.1467 0.8533 0.9675 1
Sm3 Sm 0.8533 0.1467 0.0325 1
Sm4 Sm 0.8533 0.1467 0.4675 1
Mo1 Mo 0.2355 0.7278 0.3528 1
Mo2 Mo 0.2722 0.7645 0.1472 1
Mo3 Mo 0.4152 0.5399 0.9080 1
Mo4 Mo 0.4601 0.5848 0.5920 1
Mo5 Mo 0.5399 0.4152 0.4080 1
Mo6 Mo 0.5848 0.4601 0.0920 1
Mo7 Mo 0.7278 0.2355 0.8528 1
Mo8 Mo 0.7645 0.2722 0.6472 1
O1 O 0.0207 0.7513 0.1697 1
O2 O 0.0586 0.4723 0.2864 1
O3 O 0.0594 0.5816 0.4325 1
O4 O 0.1049 0.4172 0.1321 1
O5 O 0.1742 0.5078 0.9583 1
O6 O 0.2224 0.2623 0.5394 1
O7 O 0.2256 0.3188 0.3994 1
O8 O 0.2487 0.9793 0.3303 1
O9 O 0.2623 0.2224 0.0394 1
O10 O 0.3146 0.5013 0.6702 1
O11 O 0.3188 0.2256 0.8994 1
O12 O 0.4172 0.1049 0.6321 1
O13 O 0.4184 0.9406 0.0675 1
O14 O 0.4723 0.0586 0.7864 1
O15 O 0.4922 0.8258 0.5417 1
O16 O 0.4987 0.6854 0.8298 1
O17 O 0.5013 0.3146 0.1702 1
O18 O 0.5078 0.1742 0.4583 1
O19 O 0.5277 0.9414 0.2136 1
O20 O 0.5816 0.0594 0.9325 1
O21 O 0.5828 0.8951 0.3679 1
O22 O 0.6812 0.7744 0.1006 1
O23 O 0.6854 0.4987 0.3298 1
O24 O 0.7377 0.7776 0.9606 1
O25 O 0.7513 0.0207 0.6697 1
O26 O 0.7744 0.6812 0.6006 1
O27 O 0.7776 0.7377 0.4606 1
O28 O 0.8258 0.4922 0.0417 1
O29 O 0.8951 0.5828 0.8679 1
O30 O 0.9406 0.4184 0.5675 1
O31 O 0.9414 0.5277 0.7136 1
O32 O 0.9793 0.2487 0.8303 1
```